The following is a computed powder diffraction line list of LiNiAsO4. It was derived from a DFT-relaxed cell (PBE+U, Alexandria), using Cu Ka.
No peak broadening, texture or thermal motion is included.

Principal peaks in the range 2θ = 15–90°, in order of rising 2θ:
Position (°2θ)	d (Å)	I/Imax
18.41	4.820	56
30.71	2.911	64
31.11	2.875	49
35.66	2.518	100
36.41	2.468	81
63.95	1.456	48

Cell and atoms:
Unit cell a=5.7495 b=5.9595 c=8.1948 alpha=90.00 beta=90.00 gamma=90.00
Space group Imma (No. 74)
Asymmetric unit:
Li: 0.2500 0.2500 0.2500 [4 per cell]
Ni: 0.0000 0.0000 0.0000 [4 per cell]
As: 0.0000 0.2500 0.6312 [4 per cell]
O: 0.0000 0.0090 0.7471 [8 per cell]
O: 0.2451 0.2500 0.5038 [8 per cell]